1.
This entry pairs a crystal structure of Mn6O7F5 with its computed powder XRD pattern. Radiation: copper Kα. Structure: a crystal structure in the Materials Project, relaxed with GGA+U.

Crystal structure
```
data_Mn6O7F5
_symmetry_space_group_name_H-M 'P 1'
_symmetry_Int_Tables_number 1
_symmetry_space_group_name_Hall 'P 1'
_cell_length_a 4.601
_cell_length_b 5.605
_cell_length_c 15.366
_cell_angle_alpha 89.86
_cell_angle_beta 89.88
_cell_angle_gamma 89.11
loop_
_atom_site_label
_atom_site_type_symbol
_atom_site_fract_x
_atom_site_fract_y
_atom_site_fract_z
_atom_site_occupancy
Mn1 Mn 0.000 0.000 0.000 1
Mn2 Mn 0.001 0.711 0.168 1
Mn3 Mn 0.009 0.011 0.334 1
Mn4 Mn 0.011 0.718 0.494 1
Mn5 Mn 0.019 0.007 0.667 1
Mn6 Mn 0.033 0.735 0.835 1
Mn7 Mn 0.509 0.512 0.673 1
Mn8 Mn 0.517 0.504 0.346 1
Mn9 Mn 0.527 0.188 0.175 1
Mn10 Mn 0.534 0.191 0.511 1
Mn11 Mn 0.538 0.177 0.843 1
Mn12 Mn 0.567 0.508 0.007 1
O1 O 0.229 0.970 0.225 1
O2 O 0.231 0.737 0.391 1
O3 O 0.233 0.974 0.895 1
O4 O 0.238 0.965 0.558 1
O5 O 0.250 0.749 0.726 1
O6 O 0.725 0.241 0.620 1
O7 O 0.731 0.249 0.287 1
O8 O 0.738 0.461 0.120 1
O9 O 0.742 0.468 0.454 1
O10 O 0.750 0.236 0.952 1
O11 O 0.788 0.953 0.106 1
O12 O 0.792 0.964 0.443 1
O13 O 0.803 0.963 0.776 1
O14 O 0.807 0.752 0.941 1
F1 F 0.252 0.478 0.559 1
F2 F 0.261 0.477 0.231 1
F3 F 0.267 0.229 0.059 1
F4 F 0.267 0.739 0.053 1
F5 F 0.285 0.256 0.735 1
F6 F 0.286 0.234 0.404 1
F7 F 0.297 0.487 0.893 1
F8 F 0.747 0.746 0.279 1
F9 F 0.769 0.733 0.604 1
F10 F 0.771 0.479 0.786 1
```

Most intense lines, 2θ from 15° to 90°, by intensity:
- (1 1 -3), 30.4 deg, I = 100
- (-1 1 3), 30.8 deg, I = 98
- (1 1 0), 24.8 deg, I = 57
- (1 -1 0), 25.2 deg, I = 52
- (0 2 3), 36.5 deg, I = 38
- (2 -2 3), 55.0 deg, I = 35
- (2 0 -6), 53.6 deg, I = 24
- (0 0 6), 35.0 deg, I = 23

2.
This entry pairs a crystal structure of Mn8O13F3 with its computed powder XRD pattern. Radiation: copper Kα. Structure: a crystal structure in the Materials Project, relaxed with GGA+U.

Crystal structure
```
data_Mn8O13F3
_symmetry_space_group_name_H-M 'P 1'
_symmetry_Int_Tables_number 1
_symmetry_space_group_name_Hall 'P 1'
_cell_length_a 5.535
_cell_length_b 6.716
_cell_length_c 6.741
_cell_angle_alpha 95.91
_cell_angle_beta 90.86
_cell_angle_gamma 90.33
loop_
_atom_site_label
_atom_site_type_symbol
_atom_site_fract_x
_atom_site_fract_y
_atom_site_fract_z
_atom_site_occupancy
Mn1 Mn 0.000 0.000 0.000 1
Mn2 Mn 0.005 0.492 0.480 1
Mn3 Mn 0.200 0.990 0.484 1
Mn4 Mn 0.219 0.507 0.998 1
Mn5 Mn 0.499 0.747 0.735 1
Mn6 Mn 0.505 0.256 0.239 1
Mn7 Mn 0.669 0.249 0.741 1
Mn8 Mn 0.725 0.736 0.230 1
O1 O 0.242 0.710 0.532 1
O2 O 0.243 0.782 0.941 1
O3 O 0.245 0.220 0.038 1
O4 O 0.246 0.274 0.437 1
O5 O 0.459 0.475 0.793 1
O6 O 0.462 0.018 0.680 1
O7 O 0.471 0.533 0.195 1
O8 O 0.735 0.201 0.018 1
O9 O 0.740 0.293 0.462 1
O10 O 0.750 0.790 0.954 1
O11 O 0.752 0.697 0.513 1
O12 O 0.966 0.946 0.266 1
O13 O 0.968 0.538 0.205 1
F1 F 0.489 0.958 0.271 1
F2 F 0.963 0.049 0.719 1
F3 F 0.976 0.449 0.774 1
```

Most intense lines, 2θ from 15° to 90°, by intensity:
- (1 2 0), 31.4 deg, I = 100
- (-1 1 1), 25.3 deg, I = 60
- (1 1 1), 25.7 deg, I = 56
- (1 0 -2), 31.0 deg, I = 51
- (1 -2 0), 31.2 deg, I = 49
- (2 1 3), 56.1 deg, I = 37
- (0 0 4), 54.8 deg, I = 25
- (0 4 0), 55.0 deg, I = 24

3.
This entry pairs a crystal structure of Mn3O5F with its computed powder XRD pattern. Radiation: copper Kα. Structure: a crystal structure in the Materials Project, relaxed with GGA+U.

Crystal structure
```
data_Mn3O5F
_symmetry_space_group_name_H-M 'P 1'
_symmetry_Int_Tables_number 1
_symmetry_space_group_name_Hall 'P 1'
_cell_length_a 4.564
_cell_length_b 5.466
_cell_length_c 7.529
_cell_angle_alpha 86.05
_cell_angle_beta 88.73
_cell_angle_gamma 88.04
loop_
_atom_site_label
_atom_site_type_symbol
_atom_site_fract_x
_atom_site_fract_y
_atom_site_fract_z
_atom_site_occupancy
Mn1 Mn 0.000 0.000 0.000 1
Mn2 Mn 0.001 0.326 0.677 1
Mn3 Mn 0.499 0.496 0.004 1
Mn4 Mn 0.519 0.843 0.677 1
Mn5 Mn 0.520 0.176 0.345 1
Mn6 Mn 0.982 0.653 0.329 1
O1 O 0.197 0.293 0.904 1
O2 O 0.310 0.129 0.570 1
O3 O 0.310 0.796 0.903 1
O4 O 0.311 0.466 0.239 1
O5 O 0.699 0.204 0.109 1
O6 O 0.699 0.536 0.774 1
O7 O 0.703 0.872 0.440 1
O8 O 0.807 0.705 0.104 1
O9 O 0.809 0.366 0.444 1
O10 O 0.813 0.039 0.775 1
F1 F 0.197 0.631 0.567 1
F2 F 0.205 0.967 0.239 1
```

Most intense lines, 2θ from 15° to 90°, by intensity:
- (1 1 -2), 35.8 deg, I = 100
- (1 1 1), 27.1 deg, I = 95
- (-1 1 1), 28.2 deg, I = 93
- (2 0 -3), 55.0 deg, I = 53
- (0 2 5), 69.4 deg, I = 30
- (1 3 0), 53.7 deg, I = 29
- (2 0 3), 53.8 deg, I = 28
- (0 4 1), 69.2 deg, I = 19

4.
This entry pairs a crystal structure of Mn6O7F5 with its computed powder XRD pattern. Radiation: copper Kα. Structure: a crystal structure in the Materials Project, relaxed with GGA+U.

Crystal structure
```
data_Mn6O7F5
_symmetry_space_group_name_H-M 'P 1'
_symmetry_Int_Tables_number 1
_symmetry_space_group_name_Hall 'P 1'
_cell_length_a 4.684
_cell_length_b 5.623
_cell_length_c 7.722
_cell_angle_alpha 86.26
_cell_angle_beta 89.80
_cell_angle_gamma 88.52
loop_
_atom_site_label
_atom_site_type_symbol
_atom_site_fract_x
_atom_site_fract_y
_atom_site_fract_z
_atom_site_occupancy
Mn1 Mn 0.000 0.000 0.000 1
Mn2 Mn 0.009 0.654 0.335 1
Mn3 Mn 0.045 0.325 0.679 1
Mn4 Mn 0.466 0.822 0.663 1
Mn5 Mn 0.522 0.161 0.339 1
Mn6 Mn 0.536 0.479 0.997 1
O1 O 0.205 0.363 0.446 1
O2 O 0.208 0.035 0.774 1
O3 O 0.318 0.521 0.774 1
O4 O 0.320 0.864 0.439 1
O5 O 0.704 0.453 0.229 1
O6 O 0.816 0.949 0.226 1
O7 O 0.830 0.289 0.897 1
F1 F 0.217 0.699 0.085 1
F2 F 0.314 0.194 0.103 1
F3 F 0.693 0.799 0.882 1
F4 F 0.726 0.122 0.580 1
F5 F 0.810 0.618 0.584 1
```

Most intense lines, 2θ from 15° to 90°, by intensity:
- (1 1 1), 26.6 deg, I = 100
- (-1 1 1), 27.2 deg, I = 98
- (2 2 -1), 52.2 deg, I = 31
- (1 -3 0), 53.2 deg, I = 29
- (1 1 -2), 34.6 deg, I = 29
- (1 1 4), 52.8 deg, I = 29
- (0 2 -1), 34.7 deg, I = 26
- (0 0 3), 34.9 deg, I = 26